Diffraction record for Te3C4. The X-ray diffraction stick pattern is simulated, not measured: it uses a DFT-relaxed cell (GGA-PBE, Alexandria) and CuKα.

Peak list (10 most intense, 10° ≤ 2θ ≤ 80°, in order of falling intensity)
3.104 Å, 2θ 28.76, I = 100, (2 0 0); 2.081 Å, 2θ 43.50, I = 63, (2 0 1); 6.207 Å, 2θ 14.27, I = 44, (1 0 0); 1.792 Å, 2θ 50.96, I = 23, (2 2 0); 2.804 Å, 2θ 31.92, I = 21, (0 0 1); 1.510 Å, 2θ 61.40, I = 20, (2 2 1); 1.358 Å, 2θ 69.19, I = 15, (4 0 1); 1.552 Å, 2θ 59.57, I = 12, (4 0 0); 2.208 Å, 2θ 40.86, I = 11, (1 1 1); 1.278 Å, 2θ 74.22, I = 11, (2 0 2)

Structural model:
```
data_Te3C4
_cell_length_a 7.1676
_cell_length_b 7.1676
_cell_length_c 2.8040
_cell_angle_alpha 90.00
_cell_angle_beta 90.00
_cell_angle_gamma 120.00
_space_group_name_H-M_alt 'P 6/m m m'
_space_group_IT_number 191
_space_group_name_Hall '-P 6 2'
loop_
_atom_site_label
_atom_site_fract_x
_atom_site_fract_y
_atom_site_fract_z
Te1 0.0000 0.5000 0.0000
C1 0.0000 0.0000 0.2641
C2 0.3333 0.6667 0.5000
```

Diffraction record for LiPrF2. The X-ray diffraction stick pattern is simulated, not measured: it uses a DFT-relaxed cell (GGA-PBE, Alexandria) and CuKα.

Peak list (10 most intense, 10° ≤ 2θ ≤ 80°, in order of falling intensity)
3.029 Å, 2θ 29.49, I = 100, (1 0 1); 6.638 Å, 2θ 13.34, I = 96, (0 0 3); 2.929 Å, 2θ 30.52, I = 75, (0 1 2); 1.932 Å, 2θ 47.03, I = 32, (0 1 8); 2.085 Å, 2θ 43.40, I = 28, (1 0 7); 2.610 Å, 2θ 34.36, I = 28, (1 0 4); 3.319 Å, 2θ 26.86, I = 27, (0 0 6); 1.769 Å, 2θ 51.66, I = 25, (1 1 0); 2.429 Å, 2θ 37.01, I = 20, (0 1 5); 1.710 Å, 2θ 53.61, I = 18, (1 1 3)

Structural model:
```
data_LiPrF2
_cell_length_a 3.5386
_cell_length_b 3.5386
_cell_length_c 19.9150
_cell_angle_alpha 90.00
_cell_angle_beta 90.00
_cell_angle_gamma 120.00
_space_group_name_H-M_alt 'R -3 m'
_space_group_IT_number 166
_space_group_name_Hall '-R 3 2"'
loop_
_atom_site_label
_atom_site_fract_x
_atom_site_fract_y
_atom_site_fract_z
Li1 0.0000 0.0000 0.0000
Pr1 0.0000 0.0000 0.5000
F1 0.0000 0.0000 0.3844
```

Diffraction record for NaMg2Tl10. The X-ray diffraction stick pattern is simulated, not measured: it uses a DFT-relaxed cell (GGA-PBE, Alexandria) and CuKα.

Peak list (10 most intense, 10° ≤ 2θ ≤ 80°, in order of falling intensity)
2.781 Å, 2θ 32.19, I = 100, (0 4 4); 2.488 Å, 2θ 36.10, I = 80, (0 2 6); 2.480 Å, 2θ 36.22, I = 60, (2 0 4); 7.882 Å, 2θ 11.23, I = 36, (0 0 2); 3.209 Å, 2θ 27.80, I = 28, (1 3 3); 2.770 Å, 2θ 32.31, I = 28, (2 2 2); 1.604 Å, 2θ 57.44, I = 26, (2 6 6); 5.542 Å, 2θ 15.99, I = 23, (1 1 1); 3.194 Å, 2θ 27.93, I = 22, (2 0 0); 1.753 Å, 2θ 52.18, I = 19, (3 5 1)

Structural model:
```
data_NaMg2Tl10
_cell_length_a 6.388
_cell_length_b 15.721
_cell_length_c 15.765
_cell_angle_alpha 90.00
_cell_angle_beta 90.00
_cell_angle_gamma 90.00
_space_group_name_H-M_alt 'F m m m'
_space_group_IT_number 69
_space_group_name_Hall '-F 2 2'
loop_
_atom_site_label
_atom_site_fract_x
_atom_site_fract_y
_atom_site_fract_z
Na1 0.000 0.000 0.000
Mg1 0.250 0.250 0.000
Tl1 0.000 0.110 0.398
Tl2 0.000 0.180 0.172
Tl3 0.250 0.000 0.250
```

Diffraction record for Hf2CuF11. The X-ray diffraction stick pattern is simulated, not measured: it uses a DFT-relaxed cell (GGA-PBE, Alexandria) and CuKα.

Peak list (10 most intense, 10° ≤ 2θ ≤ 80°, in order of falling intensity)
3.429 Å, 2θ 25.99, I = 100, (2 2 -1); 4.895 Å, 2θ 18.12, I = 59, (2 0 0); 3.577 Å, 2θ 24.90, I = 41, (0 0 2); 3.258 Å, 2θ 27.37, I = 37, (4 0 -2); 4.743 Å, 2θ 18.71, I = 37, (2 0 -2); 3.513 Å, 2θ 25.36, I = 36, (0 2 1); 3.946 Å, 2θ 22.53, I = 31, (1 1 1); 3.885 Å, 2θ 22.89, I = 26, (1 1 -2); 2.944 Å, 2θ 30.36, I = 25, (3 1 -3); 2.496 Å, 2θ 35.98, I = 19, (2 2 1)

Structural model:
```
data_Hf2CuF11
_cell_length_a 13.040
_cell_length_b 8.065
_cell_length_c 9.528
_cell_angle_alpha 90.00
_cell_angle_beta 131.34
_cell_angle_gamma 90.00
_space_group_name_H-M_alt 'C 1 2/c 1'
_space_group_IT_number 15
loop_
_space_group_symop_operation_xyz
'x,y,z'
'-x,-y,-z'
'-x,y,-z+1/2'
'x,-y,z+1/2'
'x+1/2,y+1/2,z'
'-x+1/2,-y+1/2,-z'
'-x+1/2,y+1/2,-z+1/2'
'x+1/2,-y+1/2,z+1/2'
loop_
_atom_site_label
_atom_site_fract_x
_atom_site_fract_y
_atom_site_fract_z
Hf1 0.239 0.153 0.193
Cu1 0.000 0.346 0.250
F1 0.059 0.114 0.963
F2 0.101 0.348 0.513
F3 0.111 0.473 0.781
F4 0.131 0.192 0.288
F5 0.231 0.096 0.756
F6 0.250 0.250 0.000
```

Diffraction record for Pm2DyTl. The X-ray diffraction stick pattern is simulated, not measured: it uses a DFT-relaxed cell (GGA-PBE, Alexandria) and CuKα.

Peak list (10 most intense, 10° ≤ 2θ ≤ 80°, in order of falling intensity)
2.793 Å, 2θ 32.05, I = 100, (1 2 1); 2.744 Å, 2θ 32.64, I = 60, (1 1 3); 2.594 Å, 2θ 34.58, I = 40, (3 0 1); 3.124 Å, 2θ 28.58, I = 33, (2 0 2); 2.466 Å, 2θ 36.43, I = 31, (2 2 0); 1.732 Å, 2θ 52.86, I = 22, (2 3 2); 1.595 Å, 2θ 57.83, I = 18, (3 0 5); 1.637 Å, 2θ 56.18, I = 16, (1 2 5); 3.055 Å, 2θ 29.23, I = 15, (1 0 3); 1.719 Å, 2θ 53.30, I = 15, (1 3 3)

Structural model:
```
data_Pm2DyTl
_cell_length_a 8.062
_cell_length_b 6.237
_cell_length_c 9.904
_cell_angle_alpha 90.00
_cell_angle_beta 90.00
_cell_angle_gamma 90.00
_space_group_name_H-M_alt 'P n n a'
_space_group_IT_number 52
loop_
_space_group_symop_operation_xyz
'x,y,z'
'-x,-y,-z'
'-x+1/2,-y,z'
'x+1/2,y,-z'
'x,-y+1/2,-z+1/2'
'-x,y+1/2,z+1/2'
'-x+1/2,y+1/2,-z+1/2'
'x+1/2,-y+1/2,z+1/2'
loop_
_atom_site_label
_atom_site_fract_x
_atom_site_fract_y
_atom_site_fract_z
Pm1 0.074 0.250 0.058
Dy1 0.094 0.750 0.250
Tl1 0.250 0.000 0.750
```